[1]
The following is a simulated XRD peak list of ZnCu5Ni. It was derived from a structure optimized by DFT (PBE), using Cu Kα, 1.54184 Å.
Lines closer than 0.1° are merged.

Largest 6 diffraction maxima, in order of rising 2θ, 2θ from 10° to 80°:
43.0°, intensity 100
43.1°, intensity 50
43.2°, intensity 49
49.6°, intensity 32
50.3°, intensity 31
50.6°, intensity 30

```
data_ZnCu5Ni
_cell_length_a 3.625
_cell_length_b 4.473
_cell_length_c 5.713
_cell_angle_alpha 83.09
_cell_angle_beta 89.76
_cell_angle_gamma 66.32
_symmetry_space_group_name_H-M 'P 1'
_symmetry_Int_Tables_number 1
loop_
_symmetry_equiv_pos_as_xyz
'x,y,z'
loop_
_atom_site_label
_atom_site_type_symbol
_atom_site_fract_x
_atom_site_fract_y
_atom_site_fract_z
_atom_site_occupancy
Zn1 Zn 0.000 0.000 0.000 1
Cu1 Cu 0.145 0.710 0.433 1
Cu2 Cu 0.287 0.425 0.855 1
Cu3 Cu 0.429 0.143 0.296 1
Cu4 Cu 0.575 0.851 0.714 1
Cu5 Cu 0.718 0.567 0.151 1
Ni1 Ni 0.859 0.282 0.575 1
```

***

[2]
The following is a simulated XRD peak list of ZnCu3Ni4. It was derived from a structure optimized by DFT (PBE), using Cu Kα, 1.54184 Å.
Lines closer than 0.1° are merged.

Largest 6 diffraction maxima, in order of rising 2θ, 2θ from 10° to 80°:
37.0°, intensity 22
43.2°, intensity 76
43.8°, intensity 100
44.0°, intensity 50
53.9°, intensity 38
58.7°, intensity 21

```
data_ZnCu3Ni4
_cell_length_a 4.855
_cell_length_b 8.235
_cell_length_c 4.774
_cell_angle_alpha 90.00
_cell_angle_beta 90.00
_cell_angle_gamma 90.00
_symmetry_space_group_name_H-M 'I m m 2'
_symmetry_Int_Tables_number 44
loop_
_symmetry_equiv_pos_as_xyz
'x,y,z'
'-x,-y,z'
'-x,y,z'
'x,-y,z'
'x+1/2,y+1/2,z+1/2'
'-x+1/2,-y+1/2,z+1/2'
'-x+1/2,y+1/2,z+1/2'
'x+1/2,-y+1/2,z+1/2'
loop_
_atom_site_label
_atom_site_type_symbol
_atom_site_fract_x
_atom_site_fract_y
_atom_site_fract_z
_atom_site_occupancy
Zn1 Zn 0.000 0.000 0.000 1
Cu1 Cu 0.000 0.252 0.255 1
Cu2 Cu 0.000 0.500 0.509 1
Ni1 Ni 0.000 0.251 0.755 1
Ni2 Ni 0.249 0.500 0.003 1
```

***

[3]
The following is a simulated XRD peak list of Zn2CuNi. It was derived from a structure optimized by DFT (PBE), using Cu Kα, 1.54184 Å.
Lines closer than 0.1° are merged.

Largest 6 diffraction maxima, in order of rising 2θ, 2θ from 10° to 80°:
41.5°, intensity 51
41.8°, intensity 100
44.0°, intensity 43
49.2°, intensity 61
49.5°, intensity 30
70.5°, intensity 19

```
data_Zn2CuNi
_cell_length_a 8.387
_cell_length_b 2.665
_cell_length_c 4.630
_cell_angle_alpha 90.00
_cell_angle_beta 101.18
_cell_angle_gamma 90.00
_symmetry_space_group_name_H-M 'C 1 2/m 1'
_symmetry_Int_Tables_number 12
loop_
_symmetry_equiv_pos_as_xyz
'x,y,z'
'-x,-y,-z'
'-x,y,-z'
'x,-y,z'
'x+1/2,y+1/2,z'
'-x+1/2,-y+1/2,-z'
'-x+1/2,y+1/2,-z'
'x+1/2,-y+1/2,z'
loop_
_atom_site_label
_atom_site_type_symbol
_atom_site_fract_x
_atom_site_fract_y
_atom_site_fract_z
_atom_site_occupancy
Zn1 Zn 0.247 0.000 0.244 1
Cu1 Cu 0.000 0.000 0.500 1
Ni1 Ni 0.000 0.500 0.000 1
```